For BeCrP, a cell relaxed with GGA-PBE gives the simulated powder diffractogram in this record (Cu Ka).
Intensities are scaled so that the largest is 100.

Crystal structure
Cell lengths 5.3879, 4.2871, 4.4243 Å; angles 76.39, 50.66, 52.95 degrees
Fractional positions:
Be: 0.0000 0.0000 0.0000
Be: 0.2500 0.2500 0.2500
Cr: 0.6642 0.6642 0.3358
Cr: 0.9142 0.9142 0.5858
P: 0.3167 0.3167 0.6833
P: 0.5667 0.5667 0.9333

Main lines, most intense first (2θ = 5–70°):
43.8 deg, intensity 100.0
26.8 deg, intensity 75.2
49.1 deg, intensity 70.6
33.3 deg, intensity 62.8
55.6 deg, intensity 46.2
46.7 deg, intensity 41.4
42.7 deg, intensity 20.4
49.6 deg, intensity 18.5